Structure and theoretical X-ray diffraction stick pattern of Sr3AlFe2O8 (a crystal structure in Alexandria, relaxed with PBE+U; Cu Kα X-rays).

Largest 8 diffraction maxima, most intense first, 2θ = 10–90°:
- 2θ = 32.25°, d = 2.776 Å, intensity 100
- 2θ = 31.11°, d = 2.875 Å, intensity 66
- 2θ = 45.42°, d = 1.997 Å, intensity 45
- 2θ = 56.79°, d = 1.621 Å, intensity 24
- 2θ = 57.51°, d = 1.603 Å, intensity 18
- 2θ = 67.48°, d = 1.388 Å, intensity 17
- 2θ = 22.26°, d = 3.994 Å, intensity 16
- 2θ = 42.20°, d = 2.141 Å, intensity 16

Crystal structure
```
data_Sr3AlFe2O8
_chemical_formula_sum 'Sr3 Al1 Fe2 O8'
_space_group_name_H-M_alt 'P -3 m 1'
_space_group_IT_number 164
_space_group_name_Hall '-P 3 2"'
_cell_length_a 5.5517
_cell_length_b 5.5517
_cell_length_c 7.1747
_cell_angle_alpha 90.00
_cell_angle_beta 90.00
_cell_angle_gamma 120.00
loop_
_atom_site_label
_atom_site_type_symbol
_atom_site_fract_x
_atom_site_fract_y
_atom_site_fract_z
Sr1 Sr 0.0000 0.0000 0.0000
Sr2 Sr 0.3333 0.6667 0.6420
Al1 Al 0.0000 0.0000 0.5000
Fe1 Fe 0.3333 0.6667 0.2163
O1 O 0.1586 0.3173 0.3354
O2 O 0.3333 0.6667 0.9660
```